1.
Theoretical X-ray diffraction stick pattern of Li2Ni3TeO8 for Cu Kα, 1.54184 Å, from a DFT-relaxed cell (GGA+U, Alexandria).
Intensities are scaled so that the largest is 1000.

Peak list (12 most intense, 2θ from 10° to 80°, by angle)
d [Å]  2theta  I (rel.)
4.497  19.74  1000
3.494  25.50  323
2.711  33.04  373
2.544  35.28  123
2.506  35.83  481
2.459  36.54  341
2.248  40.10  135
1.992  45.53  324
1.747  52.38  136
1.649  55.75  185
1.534  60.35  269
1.469  63.32  243

Cell and atoms:
Lattice parameters (Å, degrees): 5.875 5.875 9.612 90.00 90.00 120.00
Element x y z (fractional)
Li: 0.000 0.000 0.000
Li: 0.000 0.000 0.500
Li: 0.333 0.667 0.422
Li: 0.667 0.333 0.922
Ni: 0.171 0.341 0.726
Ni: 0.171 0.829 0.726
Ni: 0.341 0.171 0.226
Ni: 0.659 0.829 0.726
Ni: 0.829 0.171 0.226
Ni: 0.829 0.659 0.226
Te: 0.333 0.667 0.996
Te: 0.667 0.333 0.496
O: 0.000 0.000 0.308
O: 0.000 0.000 0.808
O: 0.033 0.517 0.864
O: 0.169 0.338 0.103
O: 0.169 0.831 0.103
O: 0.333 0.667 0.628
O: 0.338 0.169 0.603
O: 0.483 0.517 0.864
O: 0.483 0.967 0.864
O: 0.517 0.033 0.364
O: 0.517 0.483 0.364
O: 0.662 0.831 0.103
O: 0.667 0.333 0.128
O: 0.831 0.169 0.603
O: 0.831 0.662 0.603
O: 0.967 0.483 0.364

2.
Theoretical X-ray diffraction stick pattern of Li2Ni3TeO8 for Cu Kα, 1.54184 Å, from a DFT-relaxed cell (GGA+U, Alexandria).
Intensities are scaled so that the largest is 1000.

Peak list (12 most intense, 2θ from 10° to 80°, by angle)
d [Å]  2theta  I (rel.)
4.843  18.32  1000
4.816  18.42  473
2.575  34.84  107
2.565  34.99  194
2.540  35.34  303
2.526  35.54  173
2.422  37.13  149
2.110  42.86  243
2.103  43.01  480
1.918  47.39  111
1.623  56.73  93
1.505  61.62  150

Cell and atoms:
Lattice parameters (Å, degrees): 5.897 5.900 10.457 90.37 106.03 119.83
Element x y z (fractional)
Li: 0.133 0.060 0.202
Li: 0.143 0.570 0.702
Li: 0.857 0.430 0.298
Li: 0.867 0.940 0.798
Ni: 0.000 0.000 0.500
Ni: 0.000 0.500 0.000
Ni: 0.500 0.000 0.000
Ni: 0.500 0.000 0.500
Ni: 0.500 0.500 0.000
Ni: 0.500 0.500 0.500
Te: 0.490 0.740 0.250
Te: 0.510 0.260 0.750
O: 0.256 0.848 0.127
O: 0.263 0.618 0.907
O: 0.264 0.397 0.129
O: 0.267 0.633 0.371
O: 0.279 0.370 0.627
O: 0.280 0.913 0.631
O: 0.281 0.147 0.869
O: 0.289 0.144 0.407
O: 0.711 0.856 0.593
O: 0.719 0.853 0.131
O: 0.720 0.087 0.369
O: 0.721 0.630 0.373
O: 0.733 0.367 0.629
O: 0.736 0.603 0.871
O: 0.737 0.382 0.093
O: 0.744 0.152 0.873

3.
Theoretical X-ray diffraction stick pattern of Li11Ti12Ni4O32 for Cu Kα, 1.54184 Å, from a DFT-relaxed cell (GGA+U, Alexandria).
Intensities are scaled so that the largest is 1000.

Peak list (12 most intense, 2θ from 10° to 80°, by angle)
d [Å]  2theta  I (rel.)
4.863  18.24  1000
2.540  35.34  404
2.431  36.97  106
2.106  42.95  703
1.933  47.00  80
1.621  56.79  163
1.490  62.31  193
1.488  62.42  188
1.424  65.54  103
1.422  65.65  33
1.270  74.73  48
1.216  78.66  81

Cell and atoms:
Lattice parameters (Å, degrees): 8.423 8.423 8.423 90.09 90.09 90.09
Element x y z (fractional)
Li: 0.000 0.496 0.504
Li: 0.124 0.124 0.124
Li: 0.248 0.500 0.752
Li: 0.251 0.749 0.500
Li: 0.496 0.504 0.000
Li: 0.500 0.251 0.749
Li: 0.500 0.752 0.248
Li: 0.504 0.000 0.496
Li: 0.749 0.500 0.251
Li: 0.752 0.248 0.500
Li: 0.876 0.876 0.876
Ti: 0.000 0.758 0.242
Ti: 0.001 0.500 0.999
Ti: 0.242 0.000 0.758
Ti: 0.242 0.244 0.496
Ti: 0.244 0.496 0.242
Ti: 0.496 0.242 0.244
Ti: 0.500 0.999 0.001
Ti: 0.504 0.756 0.758
Ti: 0.756 0.758 0.504
Ti: 0.758 0.242 0.000
Ti: 0.758 0.504 0.756
Ti: 0.999 0.001 0.500
Ni: 0.000 0.245 0.755
Ni: 0.245 0.755 0.000
Ni: 0.500 0.500 0.500
Ni: 0.755 0.000 0.245
O: 0.001 0.736 0.016
O: 0.007 0.515 0.242
O: 0.008 0.239 0.509
O: 0.016 0.001 0.736
O: 0.236 0.729 0.252
O: 0.239 0.509 0.008
O: 0.242 0.007 0.515
O: 0.249 0.483 0.488
O: 0.252 0.236 0.729
O: 0.260 0.260 0.260
O: 0.264 0.999 0.984
O: 0.271 0.764 0.748
O: 0.483 0.488 0.249
O: 0.485 0.993 0.758
O: 0.488 0.249 0.483
O: 0.491 0.761 0.992
O: 0.509 0.008 0.239
O: 0.512 0.517 0.751
O: 0.515 0.242 0.007
O: 0.517 0.751 0.512
O: 0.729 0.252 0.236
O: 0.736 0.016 0.001
O: 0.740 0.740 0.740
O: 0.748 0.271 0.764
O: 0.751 0.512 0.517
O: 0.758 0.485 0.993
O: 0.761 0.992 0.491
O: 0.764 0.748 0.271
O: 0.984 0.264 0.999
O: 0.992 0.491 0.761
O: 0.993 0.758 0.485
O: 0.999 0.984 0.264

4.
Theoretical X-ray diffraction stick pattern of Li2Ti2NiO6 for Cu Kα, 1.54184 Å, from a DFT-relaxed cell (GGA+U, Alexandria).
Intensities are scaled so that the largest is 1000.

Peak list (12 most intense, 2θ from 10° to 80°, by angle)
d [Å]  2theta  I (rel.)
5.192  17.08  1000
2.552  35.16  62
2.506  35.83  281
2.312  38.95  94
2.290  39.34  144
2.070  43.73  318
1.820  50.13  144
1.618  56.89  174
1.464  63.53  150
1.438  64.81  57
1.432  65.13  48
1.286  73.64  52

Cell and atoms:
Lattice parameters (Å, degrees): 5.166 5.166 10.383 90.00 90.00 59.21
Element x y z (fractional)
Li: 0.167 0.333 0.250
Li: 0.333 0.167 0.750
Li: 0.667 0.833 0.250
Li: 0.833 0.667 0.750
Ti: 0.161 0.161 0.000
Ti: 0.339 0.339 0.500
Ti: 0.661 0.661 0.500
Ti: 0.839 0.839 0.000
Ni: 0.000 0.000 0.500
Ni: 0.500 0.500 0.000
O: 0.004 0.360 0.607
O: 0.140 0.496 0.893
O: 0.155 0.845 0.098
O: 0.345 0.655 0.598
O: 0.360 0.004 0.393
O: 0.496 0.140 0.107
O: 0.504 0.860 0.893
O: 0.640 0.996 0.607
O: 0.655 0.345 0.402
O: 0.845 0.155 0.902
O: 0.860 0.504 0.107
O: 0.996 0.640 0.393

5.
Theoretical X-ray diffraction stick pattern of Li4Ti5Ni3O16 for Cu Kα, 1.54184 Å, from a DFT-relaxed cell (GGA+U, Alexandria).
Intensities are scaled so that the largest is 1000.

Peak list (12 most intense, 2θ from 10° to 80°, by angle)
d [Å]  2theta  I (rel.)
4.792  18.52  1000
4.511  19.68  370
4.485  19.79  315
4.459  19.91  437
2.684  33.38  297
2.491  36.06  402
2.462  36.50  276
2.445  36.76  257
2.001  45.33  309
1.974  45.99  302
1.519  61.01  299
1.480  62.79  367

Cell and atoms:
Lattice parameters (Å, degrees): 5.922 5.922 9.587 91.41 91.41 58.99
Element x y z (fractional)
Li: 0.000 0.000 0.000
Li: 0.011 0.011 0.503
Li: 0.344 0.344 0.598
Li: 0.661 0.661 0.092
Ti: 0.157 0.650 0.273
Ti: 0.336 0.336 0.993
Ti: 0.650 0.157 0.273
Ti: 0.663 0.663 0.497
Ti: 0.829 0.829 0.763
Ni: 0.169 0.169 0.286
Ni: 0.343 0.837 0.784
Ni: 0.837 0.343 0.784
O: 0.007 0.007 0.693
O: 0.033 0.492 0.151
O: 0.162 0.162 0.901
O: 0.162 0.657 0.902
O: 0.340 0.824 0.405
O: 0.346 0.346 0.392
O: 0.478 0.478 0.156
O: 0.492 0.033 0.151
O: 0.530 0.530 0.660
O: 0.532 0.976 0.650
O: 0.657 0.162 0.902
O: 0.669 0.669 0.882
O: 0.824 0.340 0.405
O: 0.834 0.834 0.396
O: 0.976 0.532 0.650
O: 0.995 0.995 0.190

6.
Theoretical X-ray diffraction stick pattern of Li3Ti2Ni2O8 for Cu Kα, 1.54184 Å, from a DFT-relaxed cell (GGA+U, Alexandria).
Intensities are scaled so that the largest is 1000.

Peak list (12 most intense, 2θ from 10° to 80°, by angle)
d [Å]  2theta  I (rel.)
4.841  18.33  1000
2.560  35.06  153
2.513  35.73  263
2.422  37.12  111
2.133  42.38  253
2.079  43.54  469
1.931  47.05  86
1.602  57.55  96
1.490  62.31  130
1.487  62.45  132
1.468  63.34  64
1.211  79.08  86

Cell and atoms:
Lattice parameters (Å, degrees): 5.951 5.951 5.873 119.44 119.44 59.27
Element x y z (fractional)
Li: 0.000 0.000 0.000
Li: 0.000 0.500 0.500
Li: 0.500 0.000 0.500
Ti: 0.500 0.500 0.000
Ti: 0.500 0.500 0.500
Ni: 0.000 0.500 0.000
Ni: 0.500 0.000 0.000
O: 0.266 0.266 0.255
O: 0.269 0.269 0.788
O: 0.274 0.723 0.751
O: 0.277 0.726 0.249
O: 0.723 0.274 0.751
O: 0.726 0.277 0.249
O: 0.731 0.731 0.212
O: 0.734 0.734 0.745

7.
Theoretical X-ray diffraction stick pattern of Li4Ti3Ni3O12 for Cu Kα, 1.54184 Å, from a DFT-relaxed cell (GGA+U, Alexandria).
Intensities are scaled so that the largest is 1000.

Peak list (12 most intense, 2θ from 10° to 80°, by angle)
d [Å]  2theta  I (rel.)
3.649  24.40  1000
2.401  37.45  132
2.394  37.58  110
2.256  39.96  257
1.994  45.48  398
1.752  52.21  107
1.748  52.35  105
1.644  55.92  140
1.496  62.06  114
1.493  62.18  112
1.408  66.40  53
1.269  74.79  73

Cell and atoms:
Lattice parameters (Å, degrees): 5.324 5.650 7.740 68.62 83.77 89.97
Element x y z (fractional)
Li: 0.000 0.000 0.000
Li: 0.186 0.076 0.348
Li: 0.375 0.651 0.698
Li: 0.691 0.336 0.351
Ti: 0.188 0.557 0.349
Ti: 0.533 0.230 0.006
Ti: 0.842 0.887 0.693
Ni: 0.023 0.498 0.015
Ni: 0.352 0.164 0.683
Ni: 0.688 0.832 0.349
O: 0.050 0.242 0.521
O: 0.140 0.839 0.818
O: 0.235 0.307 0.880
O: 0.325 0.414 0.176
O: 0.399 0.909 0.208
O: 0.475 0.516 0.496
O: 0.559 0.988 0.534
O: 0.669 0.078 0.840
O: 0.707 0.569 0.859
O: 0.817 0.173 0.165
O: 0.901 0.663 0.202
O: 0.977 0.768 0.490

8.
Theoretical X-ray diffraction stick pattern of Li2Ti3NiO8 for Cu Kα, 1.54184 Å, from a DFT-relaxed cell (GGA+U, Alexandria).
Intensities are scaled so that the largest is 1000.

Peak list (12 most intense, 2θ from 10° to 80°, by angle)
d [Å]  2theta  I (rel.)
4.850  18.29  458
4.539  19.56  1000
3.526  25.26  332
2.736  32.73  368
2.530  35.48  614
2.482  36.19  357
2.269  39.72  368
2.011  45.09  518
1.763  51.86  205
1.664  55.19  214
1.548  59.74  431
1.483  62.66  392

Cell and atoms:
Lattice parameters (Å, degrees): 5.930 5.930 9.700 90.00 90.00 120.00
Element x y z (fractional)
Li: 0.000 0.000 0.000
Li: 0.000 0.000 0.500
Li: 0.333 0.667 0.108
Li: 0.667 0.333 0.608
Ti: 0.169 0.337 0.784
Ti: 0.169 0.831 0.784
Ti: 0.337 0.169 0.284
Ti: 0.663 0.831 0.784
Ti: 0.831 0.169 0.284
Ti: 0.831 0.663 0.284
Ni: 0.333 0.667 0.509
Ni: 0.667 0.333 0.009
O: 0.000 0.000 0.184
O: 0.000 0.000 0.684
O: 0.036 0.518 0.669
O: 0.159 0.318 0.392
O: 0.159 0.841 0.392
O: 0.318 0.159 0.892
O: 0.333 0.667 0.895
O: 0.482 0.518 0.669
O: 0.482 0.964 0.669
O: 0.518 0.036 0.169
O: 0.518 0.482 0.169
O: 0.667 0.333 0.395
O: 0.682 0.841 0.392
O: 0.841 0.159 0.892
O: 0.841 0.682 0.892
O: 0.964 0.482 0.169

9.
Theoretical X-ray diffraction stick pattern of Li4Ti2V3Ni3O16 for Cu Kα, 1.54184 Å, from a DFT-relaxed cell (GGA+U, Alexandria).
Intensities are scaled so that the largest is 1000.

Peak list (12 most intense, 2θ from 10° to 80°, by angle)
d [Å]  2theta  I (rel.)
4.810  18.44  1000
4.553  19.50  217
4.520  19.64  381
4.499  19.73  612
3.524  25.27  203
2.703  33.14  199
2.512  35.74  220
2.471  36.36  377
2.462  36.50  307
2.254  40.01  275
1.997  45.42  254
1.479  62.84  321

Cell and atoms:
Lattice parameters (Å, degrees): 5.880 5.915 9.622 89.20 89.70 60.22
Element x y z (fractional)
Li: 0.000 0.000 0.000
Li: 0.003 0.997 0.510
Li: 0.337 0.311 0.600
Li: 0.694 0.663 0.094
Ti: 0.330 0.329 0.991
Ti: 0.661 0.707 0.511
V: 0.176 0.172 0.285
V: 0.657 0.199 0.272
V: 0.804 0.353 0.765
Ni: 0.174 0.661 0.292
Ni: 0.339 0.827 0.792
Ni: 0.834 0.821 0.791
O: 0.061 0.449 0.164
O: 0.168 0.657 0.914
O: 0.174 0.168 0.906
O: 0.337 0.852 0.401
O: 0.373 0.306 0.394
O: 0.511 0.473 0.163
O: 0.515 0.030 0.168
O: 0.525 0.491 0.655
O: 0.526 0.946 0.649
O: 0.662 0.175 0.902
O: 0.690 0.617 0.892
O: 0.839 0.321 0.393
O: 0.840 0.831 0.408
O: 0.965 0.487 0.652
O: 0.990 0.019 0.700
O: 0.992 0.009 0.192

> Number 4 is which compound?

Li2Ti2NiO6